No. 1
InAsBr: calculated X-ray diffraction stick pattern (Cu Ka), based on the GGA-PBE geometry in Alexandria.
No peak broadening, texture or thermal motion is included.

Largest 12 diffraction maxima, in order of falling intensity, 10° ≤ 2θ ≤ 90°:
30.20°, rel. 100
37.03°, rel. 83
27.60°, rel. 80
12.03°, rel. 77
44.41°, rel. 43
24.20°, rel. 42
38.13°, rel. 41
20.92°, rel. 34
48.21°, rel. 33
43.89°, rel. 25
21.54°, rel. 24
49.10°, rel. 21

Structural model:
```
InAsBr
1.0
8.4919 0.0000 0.0000
-4.2460 7.3542 0.0000
0.0000 0.0000 4.9842
In As Br
3 3 3
Direct
0.0198 0.4028 0.0000 In
0.3830 0.9802 0.3333 In
0.5972 0.6170 0.6667 In
0.5356 0.3130 0.0218 As
0.6870 0.2226 0.6885 As
0.7774 0.4644 0.3552 As
0.1611 0.7820 0.8351 Br
0.2180 0.3791 0.5018 Br
0.6209 0.8389 0.1685 Br
```

No. 2
HgGe3Te4: calculated X-ray diffraction stick pattern (Cu Ka), based on the GGA-PBE geometry in Alexandria.
No peak broadening, texture or thermal motion is included.

Largest 12 diffraction maxima, in order of falling intensity, 10° ≤ 2θ ≤ 90°:
29.43°, rel. 100
29.64°, rel. 99
28.77°, rel. 98
42.32°, rel. 71
52.51°, rel. 37
41.69°, rel. 37
42.82°, rel. 37
41.23°, rel. 35
40.93°, rel. 34
52.30°, rel. 18
50.38°, rel. 17
12.68°, rel. 16

Structural model:
```
HgGe3Te4
1.0
4.3365 0.0000 0.0000
0.2226 7.4920 0.0000
0.2835 2.7596 6.9967
Hg Ge Te
1 3 4
Direct
0.0000 0.0000 0.0000 Hg
0.0049 0.5096 0.5119 Ge
0.4931 0.5097 0.0059 Ge
0.4943 0.0078 0.5083 Ge
0.0509 0.2764 0.2818 Te
0.0526 0.7606 0.7656 Te
0.5229 0.2859 0.7784 Te
0.5280 0.7739 0.2902 Te
```

No. 3
TbPm2PaP4: calculated X-ray diffraction stick pattern (Cu Ka), based on the GGA-PBE geometry in Alexandria.
No peak broadening, texture or thermal motion is included.

Largest 12 diffraction maxima, in order of falling intensity, 10° ≤ 2θ ≤ 90°:
31.17°, rel. 100
26.89°, rel. 69
44.62°, rel. 49
52.87°, rel. 27
44.76°, rel. 24
26.98°, rel. 23
73.77°, rel. 17
52.97°, rel. 15
55.46°, rel. 13
65.01°, rel. 12
74.00°, rel. 11
71.59°, rel. 11

Structural model:
```
TbPm2PaP4
1.0
7.0078 0.0000 0.0000
0.0000 4.0608 0.0000
-2.3404 0.0000 6.6399
Tb Pm Pa P
1 2 1 4
Direct
0.0000 0.0000 0.0000 Tb
0.0000 0.5000 0.5000 Pm
0.5000 0.0000 0.5000 Pm
0.5000 0.5000 0.0000 Pa
0.2522 0.5000 0.2389 P
0.2579 0.0000 0.7624 P
0.7421 0.0000 0.2376 P
0.7478 0.5000 0.7611 P
```

No. 4
Y2HfThN4: calculated X-ray diffraction stick pattern (Cu Ka), based on the GGA-PBE geometry in Alexandria.
No peak broadening, texture or thermal motion is included.

Largest 12 diffraction maxima, in order of falling intensity, 10° ≤ 2θ ≤ 90°:
31.76°, rel. 100
36.70°, rel. 66
31.42°, rel. 34
52.71°, rel. 34
36.80°, rel. 33
15.74°, rel. 30
53.19°, rel. 22
63.01°, rel. 20
63.16°, rel. 20
30.28°, rel. 13
66.31°, rel. 11
53.05°, rel. 11

Structural model:
```
Y2HfThN4
1.0
5.9599 0.0000 0.0000
0.0000 3.4526 0.0000
-1.9779 0.0000 5.6941
Y Hf Th N
2 1 1 4
Direct
0.0000 0.0000 0.0000 Y
0.0000 0.5000 0.5000 Y
0.5000 0.0000 0.5000 Hf
0.5000 0.5000 0.0000 Th
0.2597 0.0000 0.7307 N
0.2699 0.5000 0.2726 N
0.7301 0.5000 0.7274 N
0.7403 0.0000 0.2693 N
```

No. 5
Sc4H4Pb3: calculated X-ray diffraction stick pattern (Cu Ka), based on the GGA-PBE geometry in Alexandria.
No peak broadening, texture or thermal motion is included.

Largest 12 diffraction maxima, in order of falling intensity, 10° ≤ 2θ ≤ 90°:
37.63°, rel. 100
34.09°, rel. 94
20.00°, rel. 80
25.81°, rel. 52
27.32°, rel. 47
37.75°, rel. 32
55.33°, rel. 31
39.43°, rel. 27
14.52°, rel. 24
46.30°, rel. 23
47.22°, rel. 20
55.74°, rel. 20

Structural model:
```
Sc4H4Pb3
1.0
-2.3828 3.2648 6.0985
2.3828 -3.2648 6.0985
2.3828 3.2648 -6.0985
Sc H Pb
4 4 3
Direct
0.2413 0.2413 0.0000 Sc
0.2623 0.5000 0.7623 Sc
0.7377 0.5000 0.2377 Sc
0.7587 0.7587 0.0000 Sc
0.0538 0.3256 0.7282 H
0.4027 0.6744 0.7282 H
0.5973 0.3256 0.2718 H
0.9462 0.6744 0.2718 H
0.0000 0.0000 0.0000 Pb
0.3795 0.8795 0.5000 Pb
0.6205 0.1205 0.5000 Pb
```

No. 6
BaNa2Bi2Pb2: calculated X-ray diffraction stick pattern (Cu Ka), based on the GGA-PBE geometry in Alexandria.
No peak broadening, texture or thermal motion is included.

Largest 12 diffraction maxima, in order of falling intensity, 10° ≤ 2θ ≤ 90°:
32.36°, rel. 100
29.52°, rel. 69
22.67°, rel. 54
38.06°, rel. 37
19.50°, rel. 32
44.35°, rel. 29
55.98°, rel. 22
18.80°, rel. 20
57.72°, rel. 20
37.91°, rel. 18
52.03°, rel. 13
39.88°, rel. 13

Structural model:
```
BaNa2Bi2Pb2
1.0
2.7663 1.5971 9.1054
-2.7663 1.5971 9.1054
0.0000 -3.1943 9.1054
Ba Na Bi Pb
1 2 2 2
Direct
0.0000 0.0000 0.0000 Ba
0.1417 0.1417 0.1417 Na
0.8583 0.8583 0.8583 Na
0.2586 0.2586 0.2586 Bi
0.7414 0.7414 0.7414 Bi
0.4360 0.4360 0.4360 Pb
0.5640 0.5640 0.5640 Pb
```

No. 7
K3LiTc2O8: calculated X-ray diffraction stick pattern (Cu Ka), based on the GGA-PBE geometry in Alexandria.
No peak broadening, texture or thermal motion is included.

Largest 12 diffraction maxima, in order of falling intensity, 10° ≤ 2θ ≤ 90°:
30.15°, rel. 100
20.82°, rel. 96
29.08°, rel. 52
42.38°, rel. 42
17.27°, rel. 35
39.40°, rel. 30
23.21°, rel. 28
62.68°, rel. 19
52.89°, rel. 18
48.38°, rel. 18
53.55°, rel. 18
59.85°, rel. 17

Structural model:
```
K3LiTc2O8
1.0
5.9285 0.0000 0.0000
-2.9643 5.1343 0.0000
0.0000 0.0000 7.6640
K Li Tc O
3 1 2 8
Direct
0.0000 0.0000 0.0000 K
0.3333 0.6667 0.6567 K
0.6667 0.3333 0.3433 K
0.0000 0.0000 0.5000 Li
0.3333 0.6667 0.2261 Tc
0.6667 0.3333 0.7739 Tc
0.1712 0.3423 0.3157 O
0.1712 0.8288 0.3157 O
0.3333 0.6667 0.9948 O
0.3423 0.1712 0.6843 O
0.6577 0.8288 0.3157 O
0.6667 0.3333 0.0052 O
0.8288 0.1712 0.6843 O
0.8288 0.6577 0.6843 O
```

No. 8
Pm3ErB2N6: calculated X-ray diffraction stick pattern (Cu Ka), based on the GGA-PBE geometry in Alexandria.
No peak broadening, texture or thermal motion is included.

Largest 12 diffraction maxima, in order of falling intensity, 10° ≤ 2θ ≤ 90°:
32.03°, rel. 100
34.04°, rel. 92
47.43°, rel. 44
58.37°, rel. 40
23.20°, rel. 39
18.33°, rel. 28
14.11°, rel. 23
39.92°, rel. 23
57.08°, rel. 19
77.30°, rel. 18
80.66°, rel. 17
62.18°, rel. 16

Structural model:
```
Pm3ErB2N6
1.0
5.5894 0.0000 0.0000
-2.7947 4.8405 0.0000
0.0000 0.0000 6.2777
Pm Er B N
3 1 2 6
Direct
0.0000 0.0000 0.0000 Pm
0.3333 0.6667 0.6610 Pm
0.6667 0.3333 0.3390 Pm
0.0000 0.0000 0.5000 Er
0.3333 0.6667 0.2474 B
0.6667 0.3333 0.7526 B
0.1840 0.3679 0.2741 N
0.1840 0.8160 0.2741 N
0.3679 0.1840 0.7259 N
0.6321 0.8160 0.2741 N
0.8160 0.1840 0.7259 N
0.8160 0.6321 0.7259 N
```